Diffraction record for V2PbO6. The powder diffractogram is theoretical, not measured: it uses the PBE+U geometry in Alexandria and CuKα.
No peak broadening, texture or thermal motion is included.

Structural model:
a b c (Å): 9.924 3.694 13.109
angles (deg): 90.00 90.00 90.00
Space group Pnma (No. 62)
Symmetry-distinct sites (fractional):
1 V 0.005 0.250 0.135 [4 per cell]
2 V 0.237 0.250 0.904 [4 per cell]
3 Pb 0.131 0.250 0.616 [4 per cell]
4 O 0.019 0.750 0.737 [4 per cell]
5 O 0.032 0.250 0.899 [4 per cell]
6 O 0.111 0.750 0.472 [4 per cell]
7 O 0.172 0.250 0.105 [4 per cell]
8 O 0.186 0.750 0.926 [4 per cell]
9 O 0.223 0.750 0.283 [4 per cell]

The 10 most intense peaks (2θ from 15° to 90°), by angle:
two_theta  Rel. int.  h k l
16.21  37  1 0 2
19.12  60  2 0 1
25.04  26  0 1 1
27.20  100  0 0 4
29.17  84  1 1 2
30.16  44  2 1 0
30.26  34  3 0 2
31.72  34  0 1 3
41.06  57  2 1 4
49.33  38  0 2 0